Computed powder diffractogram
Compound: NdEuHf2O6
Radiation: Cu Kα
Structure: a DFT-relaxed cell (GGA-PBE, the Materials Project)

The 8 most intense peaks (2θ = 10–80°), by angle:
2θ (°), d [Å], intensity
30.6, 2.920, 95
30.9, 2.895, 93
31.5, 2.839, 100
42.9, 2.108, 29
44.8, 2.024, 23
54.2, 1.692, 44
55.4, 1.659, 41
55.9, 1.645, 41

Structural model:
```
NdEuHf2O6
1.0
3.9830 -4.0480 0.0000
3.9830 4.0480 0.0000
0.0000 0.0000 4.2156
Nd Eu Hf O
1 1 2 6
Cartesian
0.0000 0.0000 0.0000 Nd
3.9830 0.0000 0.0000 Eu
1.9915 2.0240 2.1078 Hf
1.9915 -2.0240 2.1078 Hf
1.9915 2.0240 0.0000 O
1.4127 0.0000 2.1078 O
3.9830 1.4647 2.1078 O
1.9915 -2.0240 0.0000 O
3.9830 -1.4647 2.1078 O
6.5533 0.0000 2.1078 O
```


Computed powder diffractogram
Compound: EuHfO3
Radiation: Cu Kα
Structure: a DFT-relaxed cell (GGA-PBE, the Materials Project)

The 7 most intense peaks (2θ = 10–80°), by angle:
2θ (°), d [Å], intensity
21.5, 4.134, 2
30.6, 2.923, 100
43.8, 2.067, 27
49.3, 1.849, 1
54.4, 1.688, 41
63.7, 1.462, 17
72.3, 1.307, 18

Structural model:
```
EuHfO3
1.0
4.1341 0.0000 0.0000
0.0000 4.1341 0.0000
0.0000 0.0000 4.1341
Eu Hf O
1 1 3
Cartesian
0.0000 0.0000 0.0000 Eu
2.0670 2.0670 2.0670 Hf
0.0000 2.0670 2.0670 O
2.0670 0.0000 2.0670 O
2.0670 2.0670 0.0000 O
```


Computed powder diffractogram
Compound: Eu2Hf2O7
Radiation: Cu Kα
Structure: a DFT-relaxed cell (GGA-PBE, the Materials Project)

The 8 most intense peaks (2θ = 10–80°), by angle:
2θ (°), d [Å], intensity
27.8, 3.212, 1
29.0, 3.075, 100
33.7, 2.663, 37
48.3, 1.883, 46
57.4, 1.606, 45
60.2, 1.538, 11
70.8, 1.332, 7
78.2, 1.222, 18

Structural model:
```
Eu2Hf2O7
1.0
0.0000 5.3264 5.3264
5.3264 0.0000 5.3264
5.3264 5.3264 0.0000
Eu Hf O
4 4 14
Cartesian
0.0000 0.0000 0.0000 Eu
2.6632 2.6632 0.0000 Eu
2.6632 0.0000 2.6632 Eu
0.0000 2.6632 2.6632 Eu
5.3264 2.6632 2.6632 Hf
2.6632 5.3264 2.6632 Hf
2.6632 2.6632 5.3264 Hf
5.3264 5.3264 5.3264 Hf
1.3316 1.3316 1.3316 O
3.9948 3.9948 1.7816 O
3.9948 1.7816 3.9948 O
6.2081 3.9948 3.9948 O
6.6581 6.6581 4.4448 O
6.6581 4.4448 6.6581 O
8.8713 6.6581 6.6581 O
1.7816 3.9948 3.9948 O
3.9948 6.2081 3.9948 O
3.9948 3.9948 6.2081 O
4.4448 6.6581 6.6581 O
6.6581 8.8713 6.6581 O
6.6581 6.6581 8.8713 O
9.3213 9.3213 9.3213 O
```


Computed powder diffractogram
Compound: SrEuHfSbO6
Radiation: Cu Kα
Structure: a DFT-relaxed cell (GGA-PBE, the Materials Project)

The 8 most intense peaks (2θ = 10–80°), by angle:
2θ (°), d [Å], intensity
18.4, 4.831, 6
21.2, 4.184, 4
30.2, 2.958, 100
43.3, 2.092, 29
53.7, 1.708, 41
62.8, 1.479, 18
71.3, 1.323, 18
79.3, 1.208, 6

Structural model:
```
SrEuHfSbO6
1.0
0.0000 4.1837 4.1837
4.1837 0.0000 4.1837
4.1837 4.1837 0.0000
Sr Eu Hf Sb O
1 1 1 1 6
Cartesian
0.0000 0.0000 0.0000 Sr
4.1837 4.1837 4.1837 Eu
2.0918 2.0918 2.0918 Hf
6.2755 6.2755 6.2755 Sb
2.0918 2.0918 0.0314 O
2.0918 0.0314 2.0918 O
4.1523 2.0918 2.0918 O
0.0314 2.0918 2.0918 O
2.0918 4.1523 2.0918 O
2.0918 2.0918 4.1523 O
```


Copy entry 4 word for word.
Computed powder diffractogram
Compound: SrEuHfSbO6
Radiation: Cu Kα
Structure: a DFT-relaxed cell (GGA-PBE, the Materials Project)

The 8 most intense peaks (2θ = 10–80°), by angle:
2θ (°), d [Å], intensity
18.4, 4.831, 6
21.2, 4.184, 4
30.2, 2.958, 100
43.3, 2.092, 29
53.7, 1.708, 41
62.8, 1.479, 18
71.3, 1.323, 18
79.3, 1.208, 6

Structural model:
```
SrEuHfSbO6
1.0
0.0000 4.1837 4.1837
4.1837 0.0000 4.1837
4.1837 4.1837 0.0000
Sr Eu Hf Sb O
1 1 1 1 6
Cartesian
0.0000 0.0000 0.0000 Sr
4.1837 4.1837 4.1837 Eu
2.0918 2.0918 2.0918 Hf
6.2755 6.2755 6.2755 Sb
2.0918 2.0918 0.0314 O
2.0918 0.0314 2.0918 O
4.1523 2.0918 2.0918 O
0.0314 2.0918 2.0918 O
2.0918 4.1523 2.0918 O
2.0918 2.0918 4.1523 O
```


- What is the formula in the first record?
  NdEuHf2O6